Computed XRD peak list of FeCoB4 for CuKα, from the GGA-PBE geometry in OQMD.
Peak positions follow from Bragg's law for the DFT cell and can differ from measured ones.

Top 8 peaks for 10 to 90 degrees two-theta, in order of falling intensity:
| index | 2theta | I (rel.) |
| --- | --- | --- |
| 1 1 2 | 47.68 | 100 |
| 1 1 0 | 34.63 | 78 |
| 0 2 2 | 47.50 | 51 |
| 0 2 0 | 34.39 | 40 |
| 0 0 2 | 31.74 | 35 |
| 1 3 0 | 61.76 | 26 |
| 2 2 2 | 81.86 | 18 |
| 1 1 4 | 77.02 | 13 |

```
data_FeCoB4
_space_group_name_H-M_alt 'I m m m'
_space_group_IT_number 71
_space_group_name_Hall '-I 2 2'
_cell_length_a 2.984
_cell_length_b 5.215
_cell_length_c 5.638
_cell_angle_alpha 90.00
_cell_angle_beta 90.00
_cell_angle_gamma 90.00
loop_
_atom_site_label
_atom_site_type_symbol
_atom_site_fract_x
_atom_site_fract_y
_atom_site_fract_z
_atom_site_occupancy
Fe1 Fe 0.000 0.000 0.000 1
Co1 Co 0.000 0.000 0.500 1
B1 B 0.000 0.333 0.251 1
```